Simulated X-ray diffraction stick pattern of KTlAgSe2 for a wavelength of 1.5418 Å, from a structure optimized by DFT (GGA-PBE).

The 8 most intense peaks (2θ from 5° to 70°), by angle:
d 8.826, 10.02°, I = 100; d 4.864, 18.24°, I = 65; d 3.434, 25.94°, I = 95; d 2.949, 30.31°, I = 35; d 2.636, 34.01°, I = 70; d 2.624, 34.17°, I = 59; d 2.538, 35.37°, I = 39; d 1.953, 46.49°, I = 55

Structure:
Cell lengths 7.473, 7.473, 9.077 Å; angles 102.64, 102.64, 41.31 degrees
Positions (direct):
K1 0.164 0.164 0.203
K2 0.836 0.836 0.797
Tl1 0.451 0.451 0.269
Tl2 0.549 0.549 0.731
Ag1 0.167 0.167 0.587
Ag2 0.833 0.833 0.413
Se1 0.094 0.094 0.830
Se2 0.354 0.354 0.545
Se3 0.646 0.646 0.455
Se4 0.906 0.906 0.170

=====

Simulated X-ray diffraction stick pattern of Tb5PtSe4 for a wavelength of 1.5418 Å, from a structure optimized by DFT (GGA-PBE).

The 8 most intense peaks (2θ from 5° to 70°), by angle:
d 14.671, 6.02°, I = 12; d 3.354, 26.57°, I = 13; d 2.934, 30.47°, I = 52; d 2.891, 30.93°, I = 100; d 2.059, 43.97°, I = 74; d 2.044, 44.31°, I = 37; d 1.677, 54.73°, I = 39; d 1.445, 64.47°, I = 12

Structure:
Cell lengths 14.954, 14.954, 14.954 Å; angles 164.29, 164.29, 22.29 degrees
Positions (direct):
Tb1 0.000 0.000 0.000
Tb2 0.203 0.203 0.000
Tb3 0.402 0.402 0.000
Tb4 0.598 0.598 0.000
Tb5 0.797 0.797 0.000
Pt1 0.500 0.500 0.000
Se1 0.104 0.104 0.000
Se2 0.302 0.302 0.000
Se3 0.698 0.698 0.000
Se4 0.896 0.896 0.000

=====

Simulated X-ray diffraction stick pattern of SrLi2AlIn4 for a wavelength of 1.5418 Å, from a structure optimized by DFT (GGA-PBE).

The 8 most intense peaks (2θ from 5° to 70°), by angle:
d 4.036, 22.02°, I = 39; d 3.644, 24.43°, I = 71; d 2.966, 30.13°, I = 46; d 2.762, 32.42°, I = 66; d 2.424, 37.09°, I = 100; d 2.405, 37.40°, I = 36; d 2.251, 40.06°, I = 22; d 1.522, 60.86°, I = 24

Structure:
Cell lengths 10.171, 10.171, 10.171 Å; angles 27.58, 27.58, 27.58 degrees
Positions (direct):
Sr1 0.000 0.000 0.000
Li1 0.228 0.228 0.228
Li2 0.772 0.772 0.772
Al1 0.500 0.500 0.500
In1 0.124 0.124 0.124
In2 0.402 0.402 0.402
In3 0.598 0.598 0.598
In4 0.876 0.876 0.876

=====

Simulated X-ray diffraction stick pattern of Na3TbPu3Se8 for a wavelength of 1.5418 Å, from a structure optimized by DFT (GGA-PBE).

The 8 most intense peaks (2θ from 5° to 70°), by angle:
d 6.961, 12.72°, I = 77; d 3.566, 24.97°, I = 36; d 2.974, 30.04°, I = 100; d 2.302, 39.13°, I = 20; d 2.117, 42.71°, I = 37; d 2.090, 43.30°, I = 38; d 2.001, 45.31°, I = 21; d 1.710, 53.60°, I = 20

Structure:
Cell lengths 8.470, 8.470, 8.470 Å; angles 59.13, 59.13, 59.13 degrees
Positions (direct):
Na1 0.000 0.500 0.500
Na2 0.500 0.000 0.500
Na3 0.500 0.500 0.000
Tb1 0.500 0.500 0.500
Pu1 0.000 0.000 0.500
Pu2 0.000 0.500 0.000
Pu3 0.500 0.000 0.000
Se1 0.240 0.743 0.743
Se2 0.243 0.243 0.243
Se3 0.257 0.257 0.760
Se4 0.257 0.760 0.257
Se5 0.743 0.240 0.743
Se6 0.743 0.743 0.240
Se7 0.757 0.757 0.757
Se8 0.760 0.257 0.257

=====

Simulated X-ray diffraction stick pattern of Ta11Fe2Se8 for a wavelength of 1.5418 Å, from a structure optimized by DFT (GGA-PBE).

The 8 most intense peaks (2θ from 5° to 70°), by angle:
d 10.389, 8.51°, I = 100; d 7.670, 11.54°, I = 44; d 2.739, 32.70°, I = 27; d 2.528, 35.51°, I = 47; d 2.434, 36.93°, I = 24; d 2.315, 38.90°, I = 27; d 2.221, 40.62°, I = 36; d 1.711, 53.57°, I = 20

Structure:
Cell lengths 12.227, 19.699, 3.422 Å; angles 90.00, 90.00, 90.00 degrees
Positions (direct):
Ta1 0.000 0.000 0.000
Ta2 0.056 0.244 0.000
Ta3 0.064 0.116 0.500
Ta4 0.149 0.788 0.500
Ta5 0.174 0.353 0.500
Ta6 0.178 0.946 0.500
Ta7 0.322 0.446 0.000
Ta8 0.326 0.853 0.000
Ta9 0.351 0.288 0.000
Ta10 0.436 0.616 0.000
Ta11 0.444 0.744 0.500
Ta12 0.500 0.500 0.500
Ta13 0.556 0.256 0.500
Ta14 0.564 0.384 0.000
Ta15 0.649 0.712 0.000
Ta16 0.674 0.147 0.000
Ta17 0.678 0.554 0.000
Ta18 0.822 0.054 0.500
Ta19 0.826 0.647 0.500
Ta20 0.851 0.212 0.500
Ta21 0.936 0.884 0.500
Ta22 0.944 0.756 0.000
Fe1 0.093 0.873 0.000
Fe2 0.407 0.373 0.500
Fe3 0.593 0.627 0.500
Fe4 0.907 0.127 0.000
Se1 0.039 0.674 0.500
Se2 0.112 0.446 0.000
Se3 0.205 0.056 0.000
Se4 0.218 0.216 0.500
Se5 0.282 0.716 0.000
Se6 0.295 0.556 0.500
Se7 0.388 0.946 0.500
Se8 0.461 0.174 0.000
Se9 0.539 0.826 0.000
Se10 0.612 0.054 0.500
Se11 0.705 0.444 0.500
Se12 0.718 0.284 0.000
Se13 0.782 0.784 0.500
Se14 0.795 0.944 0.000
Se15 0.888 0.554 0.000
Se16 0.961 0.326 0.500

=====

Simulated X-ray diffraction stick pattern of U2Pt9Au for a wavelength of 1.5418 Å, from a structure optimized by DFT (GGA-PBE).

The 5 most intense peaks (2θ from 5° to 70°), by angle:
d 2.372, 37.94°, I = 100; d 2.068, 43.77°, I = 34; d 2.026, 44.72°, I = 16; d 1.462, 63.63°, I = 11; d 1.447, 64.36°, I = 22

Structure:
Cell lengths 4.136, 4.136, 12.159 Å; angles 90.00, 90.00, 90.00 degrees
Positions (direct):
U1 0.000 0.000 0.175
U2 0.000 0.000 0.825
Pt1 0.000 0.500 0.000
Pt2 0.000 0.500 0.332
Pt3 0.000 0.500 0.668
Pt4 0.500 0.000 0.000
Pt5 0.500 0.000 0.332
Pt6 0.500 0.000 0.668
Pt7 0.500 0.500 0.167
Pt8 0.500 0.500 0.500
Pt9 0.500 0.500 0.833
Au1 0.000 0.000 0.500

=====

Simulated X-ray diffraction stick pattern of CaNd4Dy4 for a wavelength of 1.5418 Å, from a structure optimized by DFT (GGA-PBE).

The 8 most intense peaks (2θ from 5° to 70°), by angle:
d 2.917, 30.65°, I = 15; d 2.905, 30.78°, I = 15; d 2.894, 30.90°, I = 100; d 2.879, 31.06°, I = 40; d 2.856, 31.32°, I = 39; d 2.044, 44.31°, I = 11; d 1.658, 55.40°, I = 12; d 1.514, 61.24°, I = 22

Structure:
Cell lengths 6.733, 9.145, 10.666 Å; angles 105.60, 100.19, 96.67 degrees
Positions (direct):
Ca1 0.003 0.259 0.257
Ca2 0.997 0.741 0.743
Nd1 0.129 0.359 0.609
Nd2 0.222 0.958 0.399
Nd3 0.332 0.070 0.745
Nd4 0.404 0.652 0.949
Nd5 0.596 0.348 0.051
Nd6 0.668 0.930 0.255
Nd7 0.778 0.042 0.601
Nd8 0.871 0.641 0.391
Dy1 0.061 0.313 0.931
Dy2 0.275 0.028 0.066
Dy3 0.336 0.579 0.249
Dy4 0.449 0.690 0.590
Dy5 0.551 0.310 0.410
Dy6 0.664 0.421 0.751
Dy7 0.725 0.972 0.934
Dy8 0.939 0.687 0.069

=====

Simulated X-ray diffraction stick pattern of ErGa8Ni4 for a wavelength of 1.5418 Å, from a structure optimized by DFT (GGA-PBE).

The 8 most intense peaks (2θ from 5° to 70°), by angle:
d 3.080, 28.99°, I = 23; d 2.588, 34.66°, I = 24; d 2.501, 35.91°, I = 53; d 2.215, 40.73°, I = 68; d 2.160, 41.83°, I = 100; d 2.142, 42.18°, I = 60; d 1.968, 46.13°, I = 40; d 1.396, 67.03°, I = 24

Structure:
Cell lengths 6.589, 6.589, 6.589 Å; angles 98.88, 98.88, 133.74 degrees
Positions (direct):
Er1 0.000 0.000 0.000
Ga1 0.000 0.342 0.342
Ga2 0.000 0.658 0.658
Ga3 0.279 0.500 0.779
Ga4 0.342 0.000 0.342
Ga5 0.500 0.279 0.779
Ga6 0.500 0.721 0.221
Ga7 0.658 0.000 0.658
Ga8 0.721 0.500 0.221
Ni1 0.000 0.000 0.500
Ni2 0.000 0.500 0.000
Ni3 0.500 0.000 0.000
Ni4 0.500 0.500 0.500

=====

Simulated X-ray diffraction stick pattern of BaYF5 for a wavelength of 1.5418 Å, from a structure optimized by DFT (GGA-PBE).

The 8 most intense peaks (2θ from 5° to 70°), by angle:
d 3.533, 25.21°, I = 100; d 3.493, 25.50°, I = 86; d 3.442, 25.89°, I = 77; d 3.420, 26.05°, I = 81; d 3.134, 28.48°, I = 60; d 2.984, 29.95°, I = 45; d 2.913, 30.69°, I = 43; d 2.088, 43.34°, I = 33

Structure:
Cell lengths 7.581, 8.716, 10.977 Å; angles 78.16, 75.39, 70.10 degrees
Positions (direct):
Ba1 0.210 0.021 0.273
Ba2 0.253 0.658 0.566
Ba3 0.281 0.279 0.918
Ba4 0.719 0.721 0.082
Ba5 0.747 0.342 0.434
Ba6 0.790 0.979 0.727
Y1 0.219 0.519 0.240
Y2 0.243 0.835 0.927
Y3 0.267 0.163 0.580
Y4 0.733 0.837 0.420
Y5 0.757 0.165 0.073
Y6 0.781 0.481 0.760
F1 0.086 0.742 0.357
F2 0.109 0.049 0.047
F3 0.110 0.642 0.052
F4 0.123 0.406 0.697
F5 0.132 0.320 0.411
F6 0.150 0.772 0.776
F7 0.160 0.981 0.535
F8 0.169 0.330 0.157
F9 0.196 0.072 0.786
F10 0.349 0.736 0.130
F11 0.401 0.462 0.386
F12 0.482 0.087 0.395
F13 0.489 0.611 0.869
F14 0.490 0.933 0.903
F15 0.495 0.231 0.635
F16 0.505 0.769 0.365
F17 0.510 0.067 0.097
F18 0.511 0.389 0.131
F19 0.518 0.913 0.605
F20 0.599 0.538 0.614
F21 0.651 0.264 0.870
F22 0.804 0.928 0.214
F23 0.831 0.670 0.843
F24 0.840 0.019 0.465
F25 0.850 0.228 0.224
F26 0.868 0.680 0.589
F27 0.877 0.594 0.303
F28 0.890 0.358 0.948
F29 0.891 0.951 0.953
F30 0.914 0.258 0.643

=====

Simulated X-ray diffraction stick pattern of La6Si2NiCl3 for a wavelength of 1.5418 Å, from a structure optimized by DFT (GGA-PBE).

The 8 most intense peaks (2θ from 5° to 70°), by angle:
d 3.545, 25.12°, I = 23; d 3.501, 25.44°, I = 42; d 3.479, 25.60°, I = 18; d 3.058, 29.21°, I = 100; d 2.996, 29.82°, I = 43; d 2.157, 41.88°, I = 19; d 2.155, 41.92°, I = 35; d 2.125, 42.54°, I = 29

Structure:
Cell lengths 9.455, 9.455, 8.670 Å; angles 102.15, 102.15, 26.38 degrees
Positions (direct):
La1 0.000 0.000 0.241
La2 0.000 0.000 0.759
La3 0.330 0.330 0.422
La4 0.350 0.350 0.906
La5 0.650 0.650 0.094
La6 0.670 0.670 0.578
Si1 0.162 0.162 0.338
Si2 0.838 0.838 0.662
Ni1 0.500 0.500 0.000
Cl1 0.176 0.176 0.845
Cl2 0.500 0.500 0.500
Cl3 0.824 0.824 0.155

=====

Simulated X-ray diffraction stick pattern of Sm5Cd2Sn2 for a wavelength of 1.5418 Å, from a structure optimized by DFT (GGA-PBE).

The 8 most intense peaks (2θ from 5° to 70°), by angle:
d 3.344, 26.66°, I = 22; d 3.037, 29.41°, I = 79; d 2.892, 30.92°, I = 100; d 2.726, 32.85°, I = 57; d 2.718, 32.96°, I = 30; d 2.559, 35.07°, I = 79; d 2.029, 44.67°, I = 32; d 1.487, 62.47°, I = 20

Structure:
Cell lengths 9.127, 9.127, 8.185 Å; angles 90.00, 90.00, 53.41 degrees
Positions (direct):
Sm1 0.000 0.000 0.000
Sm2 0.030 0.683 0.671
Sm3 0.183 0.530 0.171
Sm4 0.317 0.970 0.671
Sm5 0.470 0.817 0.171
Sm6 0.500 0.500 0.500
Sm7 0.530 0.183 0.829
Sm8 0.683 0.030 0.329
Sm9 0.817 0.470 0.829
Sm10 0.970 0.317 0.329
Cd1 0.124 0.876 0.374
Cd2 0.376 0.624 0.874
Cd3 0.624 0.376 0.126
Cd4 0.876 0.124 0.626
Sn1 0.204 0.204 0.000
Sn2 0.296 0.296 0.500
Sn3 0.704 0.704 0.500
Sn4 0.796 0.796 0.000